Theoretical powder diffractogram
Compound: Gd2GeB2O8
Radiation: λ = 1.5418 Å (Cu Kα)
Structure: a DFT-relaxed cell (GGA-PBE, Alexandria)

```
data_Gd2GeB2O8
_chemical_formula_sum 'Gd8 Ge4 B8 O32'
_cell_length_a 13.614
_cell_length_b 4.456
_cell_length_c 9.466
_cell_angle_alpha 90.00
_cell_angle_beta 90.00
_cell_angle_gamma 90.00
_space_group_name_H-M_alt 'P b c n'
_space_group_IT_number 60
_space_group_name_Hall '-P 2n 2ab'
loop_
_atom_site_label
_atom_site_type_symbol
_atom_site_fract_x
_atom_site_fract_y
_atom_site_fract_z
_atom_site_occupancy
Gd1 Gd 0.140 0.043 0.026 1
Ge1 Ge 0.000 0.420 0.750 1
B1 B 0.200 0.470 0.295 1
O1 O 0.005 0.199 0.902 1
O2 O 0.107 0.346 0.231 1
O3 O 0.192 0.462 0.448 1
O4 O 0.216 0.218 0.740 1
```

Peak list (6 most intense, 10 to 80 degrees two-theta, in order of falling intensity)
- 28.28 deg, d 3.156, intensity 100, hkl 1 1 2
- 32.40 deg, d 2.763, intensity 57, hkl 4 0 2
- 28.06 deg, d 3.180, intensity 55, hkl 3 1 0
- 55.05 deg, d 1.668, intensity 30, hkl 7 1 2
- 18.75 deg, d 4.733, intensity 29, hkl 0 0 2
- 33.97 deg, d 2.639, intensity 27, hkl 3 1 2